(1)
GaCuMo: calculated XRD peak list (CuKα), based on a PBE-relaxed structure.
Kinematic intensities with the Lorentz-polarization factor, no thermal factor.

Cell and atoms:
Cell: 4.2964 4.2964 5.3649 Å, 90.00 90.00 120.00°
Space group P6/mmm (No. 191)
Inequivalent atoms, fractional coordinates:
Ga: 0.3333 0.6667 0.0000 x2
Cu: 0.3333 0.6667 0.5000 x2
Mo: 0.0000 0.0000 0.2607 x2

Top 12 peaks for 2θ = 10–80°, by angle:
Position (°2θ)  d_spacing  I_rel  (hkl)
23.9  3.721  6  1 0 0
29.2  3.057  1  1 0 1
33.4  2.682  2  0 0 2
41.5  2.176  100  1 0 2
42.1  2.148  98  1 1 0
49.0  1.860  1  2 0 0
54.7  1.677  3  1 1 2
60.6  1.529  31  2 0 2
66.5  1.406  1  2 1 0
70.2  1.341  7  0 0 4
76.5  1.246  31  2 1 2
76.9  1.240  15  3 0 0

***

(2)
GaCuMo: calculated XRD peak list (CuKα), based on a PBE-relaxed structure.
Kinematic intensities with the Lorentz-polarization factor, no thermal factor.

Cell and atoms:
Cell: 4.2170 4.2170 2.7831 Å, 90.00 90.00 120.00°
Space group P-6m2 (No. 187)
Inequivalent atoms, fractional coordinates:
Ga: 0.0000 0.0000 0.0000 x1
Cu: 0.6667 0.3333 0.0000 x1
Mo: 0.3333 0.6667 0.5000 x1

Top 12 peaks for 2θ = 10–80°, by angle:
Position (°2θ)  d_spacing  I_rel  (hkl)
24.4  3.652  5  1 0 0
32.2  2.783  2  0 0 1
40.8  2.214  100  1 0 1
42.9  2.108  87  1 1 0
49.9  1.826  1  2 0 0
54.6  1.681  3  1 1 1
60.7  1.527  29  2 0 1
67.3  1.392  7  0 0 2
67.9  1.380  1  2 1 0
72.7  1.300  1  1 0 2
77.1  1.237  29  2 1 1
78.6  1.217  14  3 0 0

***

(3)
Na2Ga4Cu5: calculated XRD peak list (CuKα), based on a PBE-relaxed structure.
Kinematic intensities with the Lorentz-polarization factor, no thermal factor.

Cell and atoms:
Cell: 5.275 8.987 15.846 Å, 90.00 90.00 90.00°
Space group Fmmm (No. 69)
Inequivalent atoms, fractional coordinates:
Na: 0.000 0.000 0.133 x8
Ga: 0.000 0.162 0.372 x16
Cu: 0.000 0.000 0.500 x4
Cu: 0.250 0.250 0.000 x8
Cu: 0.250 0.250 0.250 x8

Top 12 peaks for 2θ = 10–80°, by angle:
Position (°2θ)  d_spacing  I_rel  (hkl)
19.8  4.494  93  0 2 0
20.3  4.373  86  1 1 1
34.9  2.570  29  1 3 1
38.5  2.336  85  1 3 3
39.6  2.275  27  2 2 0
41.1  2.195  100  2 0 4
45.1  2.012  40  1 3 5
45.8  1.981  56  0 0 8
46.0  1.973  87  2 2 4
46.5  1.954  52  0 4 4
53.6  1.710  30  2 4 0
72.6  1.302  27  2 6 0